(1)
# Mn6O5F7
Calculated PXRD pattern, copper Kα. Input: DFT lattice parameters and positions (PBE+U).
Neutral-atom scattering factors, no anomalous dispersion.

Cell and atoms:
```
Mn6O5F7
1.0
5.0617 0.0000 0.0000
0.4425 5.5604 0.0000
1.7150 1.1773 15.0054
Mn O F
12 10 14
Direct
0.0000 0.0000 0.0000
0.0004 0.3690 0.4822
0.0212 0.0383 0.6588
0.0546 0.9935 0.3241
0.4792 0.3414 0.3090
0.4865 0.3520 0.6491
0.4912 0.3566 0.9872
0.4966 0.8345 0.1525
0.5047 0.8276 0.4877
0.5089 0.8229 0.8184
0.9775 0.3563 0.8115
0.9884 0.3368 0.1471
0.1984 0.2730 0.5830
0.2229 0.2170 0.2400
0.2617 0.1097 0.0707
0.2646 0.1049 0.7427
0.2784 0.1131 0.4075
0.6875 0.5236 0.5510
0.6896 0.5258 0.8820
0.6967 0.5063 0.2144
0.7664 0.2253 0.0619
0.7840 0.2646 0.7176
0.1912 0.3096 0.9129
0.2201 0.7180 0.2539
0.2251 0.7935 0.5938
0.2287 0.8039 0.9223
0.2756 0.5799 0.0835
0.3100 0.5745 0.7524
0.3241 0.5799 0.4184
0.7411 0.0461 0.8990
0.7480 0.0136 0.2454
0.7528 0.0388 0.5687
0.7743 0.7347 0.0514
0.7839 0.2915 0.3853
0.8323 0.7862 0.7273
0.8510 0.7819 0.4064
```

Top 12 peaks for 10 to 90 degrees two-theta, by angle:
d/Å	I (rel.)
5.543	22.1
3.862	37.1
3.279	100.0
2.956	85.8
2.884	70.9
2.870	72.1
2.772	24.6
2.146	30.6
2.134	30.1
1.889	21.1
1.874	46.1
1.683	34.3

(2)
# MgV2PbO2F8
Calculated PXRD pattern, copper Kα. Input: DFT lattice parameters and positions (PBE+U).
Neutral-atom scattering factors, no anomalous dispersion.

Cell and atoms:
```
MgV2PbO2F8
1.0
5.4710 0.0000 0.0000
-2.6748 6.0741 0.0000
-0.7567 -2.5120 7.3007
Mg V Pb O F
1 2 1 2 8
Direct
0.0000 0.0000 0.0000
0.3927 0.7058 0.7924
0.6073 0.2942 0.2076
0.0000 0.0000 0.5000
0.2552 0.4248 0.6819
0.7448 0.5752 0.3181
0.1547 0.7694 0.9409
0.2380 0.1321 0.2586
0.2862 0.8491 0.6346
0.3611 0.2262 0.9804
0.6389 0.7738 0.0196
0.7138 0.1509 0.3654
0.7620 0.8679 0.7414
0.8453 0.2306 0.0591
```

Top 12 peaks for 10 to 90 degrees two-theta, by angle:
d/Å	I (rel.)
7.301	36.3
5.744	100.0
4.964	51.5
4.562	97.6
4.203	78.3
3.935	82.1
3.668	57.7
3.305	41.6
3.165	51.0
3.098	37.9
2.161	31.9
2.100	40.5

(3)
# LiFe4B4O12
Calculated PXRD pattern, copper Kα. Input: DFT lattice parameters and positions (PBE+U).
Neutral-atom scattering factors, no anomalous dispersion.

Cell and atoms:
```
LiFe4B4O12
1.0
5.2362 0.0000 0.0000
0.1236 9.1172 0.0000
0.0636 0.0053 10.2257
Li Fe B O
2 8 8 24
Direct
0.0000 0.0000 0.0000
0.0288 0.9945 0.5031
0.0087 0.6547 0.9581
0.0129 0.3305 0.4568
0.1625 0.8135 0.2116
0.1710 0.4856 0.7054
0.5072 0.1655 0.9570
0.5106 0.8183 0.4586
0.6639 0.9784 0.7140
0.6673 0.3143 0.2107
0.0047 0.6574 0.4616
0.1687 0.4849 0.2046
0.1793 0.8144 0.7026
0.5063 0.8271 0.9614
0.5148 0.1488 0.4566
0.6550 0.9910 0.2059
0.6771 0.3217 0.7073
0.9972 0.3186 0.9556
0.0068 0.3829 0.2653
0.0265 0.9340 0.6893
0.0591 0.6082 0.1470
0.0800 0.4485 0.8997
0.0933 0.6849 0.7632
0.1330 0.5292 0.5039
0.1459 0.1941 0.9567
0.1477 0.7790 0.4232
0.2435 0.8267 0.9898
0.2539 0.1662 0.4643
0.4235 0.4624 0.2049
0.4265 0.8153 0.6528
0.5070 0.8864 0.2688
0.5159 0.4381 0.6983
0.5296 0.1211 0.1595
0.6078 0.1941 0.7711
0.6156 0.9623 0.9253
0.6407 0.0216 0.4984
0.6600 0.7069 0.9664
0.6692 0.2598 0.4061
0.7478 0.6641 0.4575
0.7542 0.3160 0.0127
0.9080 0.9756 0.1836
0.9255 0.3285 0.6516
```

Top 12 peaks for 10 to 90 degrees two-theta, by angle:
d/Å	I (rel.)
4.563	48.6
4.514	89.2
4.162	100.0
4.129	54.2
3.410	75.0
3.399	52.2
2.644	23.9
2.615	64.5
2.556	83.9
2.352	24.4
2.204	25.4
1.866	22.4

(4)
# Li4Fe3Co5O16
Calculated PXRD pattern, copper Kα. Input: DFT lattice parameters and positions (PBE+U).
Neutral-atom scattering factors, no anomalous dispersion.

Cell and atoms:
```
Li4Fe3Co5O16
1.0
5.1608 0.0000 0.0000
0.0000 2.9311 0.0000
-1.3310 0.0000 19.1367
Li Fe Co O
4 3 5 16
Direct
0.0000 0.0000 0.0000
0.2502 0.0000 0.7465
0.5000 0.0000 0.5000
0.7498 0.0000 0.2535
0.3765 0.0000 0.1287
0.5000 0.5000 0.0000
0.6235 0.0000 0.8713
0.0000 0.5000 0.5000
0.1254 0.0000 0.3772
0.2474 0.5000 0.2543
0.7526 0.5000 0.7457
0.8746 0.0000 0.6228
0.0239 0.5000 0.6860
0.1005 0.0000 0.2016
0.1459 0.0000 0.5533
0.2207 0.5000 0.0641
0.2743 0.5000 0.4413
0.3413 0.0000 0.9416
0.3938 0.0000 0.3080
0.4788 0.5000 0.8054
0.5212 0.5000 0.1946
0.6062 0.0000 0.6920
0.6587 0.0000 0.0584
0.7257 0.5000 0.5587
0.7793 0.5000 0.9359
0.8541 0.0000 0.4467
0.8995 0.0000 0.7984
0.9761 0.5000 0.3140
```

Top 12 peaks for 10 to 90 degrees two-theta, by angle:
d/Å	I (rel.)
4.887	100.0
2.499	23.6
2.487	11.1
2.393	10.0
2.088	37.1
2.075	17.9
1.917	10.3
1.617	9.7
1.483	9.5
1.466	5.3
1.460	9.5
1.197	6.5

(5)
# Li3Mn4O8
Calculated PXRD pattern, copper Kα. Input: DFT lattice parameters and positions (PBE+U).
Neutral-atom scattering factors, no anomalous dispersion.

Cell and atoms:
```
Li3Mn4O8
1.0
5.0097 -2.8694 0.0000
5.0097 2.8694 0.0000
-4.4669 0.0000 5.1343
Li Mn O
3 4 8
Direct
0.0000 0.0000 0.0000
0.2317 0.7683 0.5000
0.7683 0.2317 0.5000
0.0000 0.5000 0.5000
0.2915 0.2915 0.0317
0.5000 0.0000 0.5000
0.7085 0.7085 0.9683
0.0041 0.5220 0.8215
0.0775 0.0775 0.3552
0.4284 0.4284 0.6492
0.4780 0.9959 0.1785
0.5220 0.0041 0.8215
0.5716 0.5716 0.3508
0.9225 0.9225 0.6448
0.9959 0.4780 0.1785
```

Top 12 peaks for 10 to 90 degrees two-theta, by angle:
d/Å	I (rel.)
3.779	100.0
3.401	75.9
2.567	20.6
2.505	37.2
2.487	42.5
2.192	15.9
1.835	20.5
1.813	29.2
1.741	18.1
1.723	34.2
1.701	15.2
1.470	22.9

(6)
# VP2O8
Calculated PXRD pattern, copper Kα. Input: DFT lattice parameters and positions (PBE+U).
Neutral-atom scattering factors, no anomalous dispersion.

Cell and atoms:
```
VP2O8
1.0
7.5084 0.0000 0.0000
0.0000 9.9237 0.0000
-2.3572 0.0000 7.9773
V P O
4 8 32
Direct
0.2373 0.1003 0.2594
0.2373 0.3997 0.7594
0.7627 0.6003 0.2406
0.7627 0.8997 0.7406
0.1293 0.0961 0.8304
0.1293 0.4039 0.3304
0.4308 0.1295 0.6859
0.4308 0.3705 0.1859
0.5692 0.6295 0.8141
0.5692 0.8705 0.3141
0.8707 0.5961 0.6696
0.8707 0.9039 0.1696
0.0187 0.5010 0.7720
0.0187 0.9990 0.2720
0.0951 0.2404 0.7563
0.0951 0.2596 0.2563
0.1542 0.0907 0.0165
0.1542 0.4093 0.5165
0.1843 0.6970 0.0394
0.1843 0.8030 0.5394
0.3228 0.0476 0.7994
0.3233 0.1120 0.5034
0.3233 0.3880 0.0034
0.3228 0.4524 0.2994
0.3783 0.5606 0.7673
0.3783 0.9394 0.2673
0.4457 0.2235 0.2461
0.4457 0.2765 0.7461
0.5543 0.7235 0.2539
0.5543 0.7765 0.7539
0.6217 0.0606 0.7327
0.6217 0.4394 0.2327
0.6772 0.5476 0.7006
0.6767 0.6120 0.9966
0.6767 0.8880 0.4966
0.6772 0.9524 0.2006
0.8157 0.1970 0.4606
0.8157 0.3030 0.9606
0.8458 0.5907 0.4835
0.8458 0.9093 0.9835
0.9049 0.7404 0.7437
0.9049 0.7596 0.2437
0.9813 0.0010 0.7280
0.9813 0.4990 0.2280
```

Top 12 peaks for 10 to 90 degrees two-theta, by angle:
d/Å	I (rel.)
5.828	100.0
5.323	24.1
3.989	57.4
3.113	8.3
3.006	42.5
2.988	23.8
2.965	43.8
2.661	9.2
2.427	12.2
1.995	11.7
1.753	7.5
1.555	8.7

(7)
# Li9Co7O16
Calculated PXRD pattern, copper Kα. Input: DFT lattice parameters and positions (PBE+U).
Neutral-atom scattering factors, no anomalous dispersion.

Cell and atoms:
```
Li9Co7O16
1.0
2.9987 0.0000 0.0000
0.1312 5.9720 0.0000
0.0235 0.2943 16.0354
Li Co O
9 7 16
Direct
0.0000 0.0000 0.0000
0.0000 0.0000 0.5000
0.0000 0.5000 0.0000
0.0031 0.4996 0.2494
0.4995 0.2501 0.3752
0.4991 0.2558 0.8774
0.5009 0.7442 0.1226
0.5005 0.7499 0.6248
0.9969 0.5004 0.7506
0.0000 0.5000 0.5000
0.0033 0.9985 0.7514
0.4984 0.2607 0.1207
0.4990 0.2490 0.6253
0.5010 0.7510 0.3747
0.5016 0.7393 0.8793
0.9967 0.0015 0.2486
0.0065 0.0071 0.6302
0.0068 0.5087 0.3793
0.0346 0.4804 0.1253
0.0397 0.9882 0.8706
0.4913 0.2381 0.2407
0.4940 0.7406 0.4955
0.4986 0.2399 0.7452
0.4993 0.2472 0.0123
0.5007 0.7528 0.9877
0.5014 0.7601 0.2548
0.5060 0.2594 0.5045
0.5087 0.7619 0.7593
0.9603 0.0118 0.1294
0.9654 0.5196 0.8747
0.9932 0.4913 0.6207
0.9935 0.9929 0.3698
```

Top 12 peaks for 10 to 90 degrees two-theta, by angle:
d/Å	I (rel.)
4.832	100.0
2.554	17.0
2.516	14.8
2.423	11.4
2.401	8.4
2.139	31.4
2.093	28.8
2.004	24.2
1.499	8.4
1.493	8.3
1.473	7.6
1.456	7.3

(8)
# BaLaMnSbO6
Calculated PXRD pattern, copper Kα. Input: DFT lattice parameters and positions (PBE+U).
Neutral-atom scattering factors, no anomalous dispersion.

Cell and atoms:
```
BaLaMnSbO6
1.0
-2.9006 2.9006 4.1872
2.9006 -2.9006 4.1872
2.9006 2.9006 -4.1872
Ba La Mn Sb O
1 1 1 1 6
Direct
0.0000 0.0000 0.0000
0.5000 0.5000 0.0000
0.7500 0.2500 0.5000
0.2500 0.7500 0.5000
0.0091 0.5091 0.5000
0.0895 0.0685 0.6131
0.4555 0.4765 0.3869
0.4909 0.9909 0.5000
0.5235 0.9105 0.9790
0.9315 0.5445 0.0210
```

Top 12 peaks for 10 to 90 degrees two-theta, by angle:
d/Å	I (rel.)
4.769	10.3
2.930	100.0
2.901	54.7
2.384	10.1
2.094	16.3
2.051	28.5
1.698	22.8
1.680	43.3
1.465	17.8
1.297	10.4
1.111	11.4
1.103	12.8

(9)
# ZnW4O8
Calculated PXRD pattern, copper Kα. Input: DFT lattice parameters and positions (PBE+U).
Neutral-atom scattering factors, no anomalous dispersion.

Cell and atoms:
```
ZnW4O8
1.0
3.2792 1.8933 4.8343
-3.2792 1.8933 4.8343
0.0000 -3.7865 4.8343
Zn W O
1 4 8
Direct
0.0000 0.0000 0.0000
0.0000 0.0000 0.5000
0.0000 0.5000 0.0000
0.5000 0.0000 0.0000
0.5000 0.5000 0.5000
0.2250 0.7478 0.7478
0.2287 0.2287 0.2287
0.2522 0.2522 0.7750
0.2522 0.7750 0.2522
0.7478 0.2250 0.7478
0.7478 0.7478 0.2250
0.7713 0.7713 0.7713
0.7750 0.2522 0.2522
```

Top 12 peaks for 10 to 90 degrees two-theta, by angle:
d/Å	I (rel.)
4.834	100.0
2.787	66.7
2.644	61.9
2.417	17.0
2.236	73.5
2.029	24.3
1.674	18.4
1.640	27.5
1.553	26.3
1.528	20.6
1.357	18.2
1.322	12.9